# Li4Mn3OF11
Theoretical powder X-ray diffraction pattern, Cu Kα (λ = 1.5418 Å). Input: a DFT-relaxed cell (PBE+U, Alexandria).
Neutral-atom scattering factors, no anomalous dispersion.

Largest 10 diffraction maxima, in order of rising 2θ, 2θ from 10° to 80°:
15.4 deg, d 5.753, I 100
18.3 deg, d 4.859, I 36
24.4 deg, d 3.650, I 39
27.7 deg, d 3.223, I 44
28.8 deg, d 3.097, I 42
30.1 deg, d 2.968, I 41
30.9 deg, d 2.895, I 32
36.9 deg, d 2.437, I 18
41.3 deg, d 2.187, I 17
56.2 deg, d 1.637, I 16

Structural model:
```
data_Li4Mn3OF11
_chemical_formula_sum 'Li4 Mn3 O1 F11'
_symmetry_space_group_name_H-M 'P 1'
_symmetry_Int_Tables_number 1
_cell_length_a 6.0495
_cell_length_b 6.3352
_cell_length_c 6.6989
_cell_angle_alpha 106.89
_cell_angle_beta 101.63
_cell_angle_gamma 103.70
loop_
_symmetry_equiv_pos_as_xyz
'x,y,z'
loop_
_atom_site_label
_atom_site_type_symbol
_atom_site_fract_x
_atom_site_fract_y
_atom_site_fract_z
Li1 Li 0.0000 0.0000 0.0000
Li2 Li 0.1794 0.1627 0.4851
Li3 Li 0.4877 0.7074 0.7787
Li4 Li 0.6925 0.7649 0.3781
Mn1 Mn 0.1275 0.5681 0.2350
Mn2 Mn 0.5793 0.2834 0.9862
Mn3 Mn 0.8418 0.4059 0.6492
O1 O 0.8896 0.4100 0.9688
F1 F 0.0788 0.8563 0.2424
F2 F 0.1656 0.5088 0.6834
F3 F 0.1718 0.2887 0.2541
F4 F 0.2562 0.0990 0.8780
F5 F 0.4110 0.7388 0.4738
F6 F 0.5017 0.5719 0.0598
F7 F 0.5160 0.2839 0.6318
F8 F 0.6582 0.0118 0.9908
F9 F 0.7959 0.4792 0.3476
F10 F 0.8148 0.7098 0.7480
F11 F 0.8531 0.1009 0.5138
```